Starting from a DFT-relaxed cell (PBE, Alexandria), the powder X-ray diffraction pattern of LiHfP was computed for CuKα.
Neutral-atom scattering factors, no anomalous dispersion.

Atomic structure:
Unit cell a=6.137 b=6.137 c=6.137 alpha=143.82 beta=130.47 gamma=62.86
Positions (direct):
Li1 0.230 0.000 0.230
Li2 0.770 0.000 0.770
Hf1 0.308 0.308 0.000
Hf2 0.692 0.692 0.000
P1 0.148 0.648 0.500
P2 0.852 0.352 0.500

Most intense lines, 10° ≤ 2θ ≤ 90°, low angle first:
2θ (°), I_rel
16.9, 94
29.2, 59
31.0, 39
33.9, 56
34.9, 100
50.1, 41